No. 1
KBaNbS4: calculated powder diffractogram (λ = 1.5418 Å (Cu Kα)), based on a structure optimized by DFT (PBE).
No peak broadening, texture or thermal motion is included.

Top 10 peaks for 5° ≤ 2θ ≤ 70°, low angle first:
(1 0 2), d = 5.268 Å, 2θ 16.8, intensity 50
(1 1 1), d = 5.156 Å, 2θ 17.2, intensity 58
(1 1 2), d = 4.224 Å, 2θ 21.0, intensity 37
(2 1 1), d = 3.726 Å, 2θ 23.9, intensity 80
(0 1 3), d = 3.645 Å, 2θ 24.4, intensity 63
(0 2 0), d = 3.535 Å, 2θ 25.2, intensity 82
(0 0 4), d = 3.195 Å, 2θ 27.9, intensity 48
(1 1 4), d = 2.778 Å, 2θ 32.2, intensity 100
(1 2 3), d = 2.610 Å, 2θ 34.4, intensity 49
(2 2 2), d = 2.578 Å, 2θ 34.8, intensity 39

Structural model:
a = 9.3358 Å, b = 7.0695 Å, c = 12.7625 Å
α = 90.00°, β = 90.00°, γ = 90.00°
Space group Pnma (No. 62)
Unique sites:
K (0.1355, 0.2500, 0.0748) x4
Ba (0.0204, 0.7500, 0.3241) x4
Nb (0.2292, 0.2500, 0.4234) x4
S (0.0158, 0.7500, 0.5827) x4
S (0.1812, 0.0099, 0.8411) x8
S (0.1941, 0.7500, 0.0942) x4


No. 2
KBaNi2: calculated powder diffractogram (λ = 1.5418 Å (Cu Kα)), based on a structure optimized by DFT (PBE).
No peak broadening, texture or thermal motion is included.

Top 10 peaks for 5° ≤ 2θ ≤ 70°, low angle first:
(0 0 2), d = 5.560 Å, 2θ 15.9, intensity 53
(1 0 2), d = 3.412 Å, 2θ 26.1, intensity 29
(1 1 1), d = 3.097 Å, 2θ 28.8, intensity 96
(0 1 3), d = 2.943 Å, 2θ 30.4, intensity 100
(1 1 3), d = 2.433 Å, 2θ 37.0, intensity 48
(0 2 0), d = 2.420 Å, 2θ 37.1, intensity 37
(1 0 4), d = 2.338 Å, 2θ 38.5, intensity 26
(2 0 0), d = 2.161 Å, 2θ 41.8, intensity 26
(2 1 3), d = 1.742 Å, 2θ 52.5, intensity 40
(1 2 6), d = 1.393 Å, 2θ 67.2, intensity 21

Structural model:
a = 4.3224 Å, b = 4.8407 Å, c = 11.1200 Å
α = 90.00°, β = 90.00°, γ = 90.00°
Space group Amm2 (No. 38)
Unique sites:
K (0.0000, 0.0000, 0.0000) x2
Ba (0.5000, 0.0000, 0.7087) x2
Ni (0.0000, 0.0000, 0.3128) x2
Ni (0.5000, 0.0000, 0.3772) x2


No. 3
K3Ba2NpO6: calculated powder diffractogram (λ = 1.5418 Å (Cu Kα)), based on a structure optimized by DFT (PBE).
No peak broadening, texture or thermal motion is included.

Top 10 peaks for 5° ≤ 2θ ≤ 70°, low angle first:
(0 0 1), d = 6.275 Å, 2θ 14.1, intensity 85
(1 3 0), d = 3.265 Å, 2θ 27.3, intensity 44
(0 0 2), d = 3.133 Å, 2θ 28.5, intensity 86
(2 0 0), d = 3.118 Å, 2θ 28.6, intensity 28
(2 0 -2), d = 2.710 Å, 2θ 33.1, intensity 100
(1 3 2), d = 2.089 Å, 2θ 43.3, intensity 21
(0 6 0), d = 1.920 Å, 2θ 47.3, intensity 32
(3 3 -1), d = 1.912 Å, 2θ 47.6, intensity 22
(2 0 -4), d = 1.637 Å, 2θ 56.2, intensity 25
(3 3 -3), d = 1.634 Å, 2θ 56.3, intensity 19

Structural model:
a = 6.6140 Å, b = 11.5126 Å, c = 6.6550 Å
α = 90.00°, β = 109.46°, γ = 90.00°
Space group C2/m (No. 12)
Unique sites:
K (0.0000, 0.0000, 0.0000) x2
K (0.0000, 0.3448, 0.0000) x4
Ba (0.0000, 0.1676, 0.5000) x4
Np (0.0000, 0.5000, 0.5000) x2
O (0.2018, 0.3634, 0.6967) x8
O (0.2115, 0.5000, 0.3087) x4


No. 4
K14Ba2O9: calculated powder diffractogram (λ = 1.5418 Å (Cu Kα)), based on a structure optimized by DFT (PBE).
No peak broadening, texture or thermal motion is included.

Top 10 peaks for 5° ≤ 2θ ≤ 70°, low angle first:
(0 1 1), d = 5.856 Å, 2θ 15.1, intensity 74
(2 0 1), d = 3.297 Å, 2θ 27.0, intensity 46
(0 1 3), d = 3.247 Å, 2θ 27.5, intensity 46
(1 1 2), d = 3.233 Å, 2θ 27.6, intensity 100
(3 -2 1), d = 2.542 Å, 2θ 35.3, intensity 54
(3 0 0), d = 2.303 Å, 2θ 39.1, intensity 59
(2 -1 4), d = 2.269 Å, 2θ 39.7, intensity 74
(3 -1 3), d = 2.128 Å, 2θ 42.5, intensity 15
(3 1 3), d = 1.700 Å, 2θ 53.9, intensity 21
(2 2 4), d = 1.616 Å, 2θ 57.0, intensity 17

Structural model:
a = 7.9791 Å, b = 7.9791 Å, c = 11.0340 Å
α = 90.00°, β = 90.00°, γ = 120.00°
Space group P-3 (No. 147)
Unique sites:
K (0.0000, 0.0000, 0.2439) x2
K (0.0562, 0.6941, 0.4080) x6
K (0.0709, 0.3749, 0.0880) x6
Ba (0.3333, 0.6667, 0.7583) x2
O (0.0000, 0.0000, 0.5000) x1
O (0.0481, 0.3473, 0.8399) x6
O (0.3333, 0.6667, 0.5256) x2


No. 5
K3Ba2O8: calculated powder diffractogram (λ = 1.5418 Å (Cu Kα)), based on a structure optimized by DFT (PBE).
No peak broadening, texture or thermal motion is included.

Top 10 peaks for 5° ≤ 2θ ≤ 70°, low angle first:
(1 1 0), d = 6.180 Å, 2θ 14.3, intensity 42
(1 1 -1), d = 5.646 Å, 2θ 15.7, intensity 70
(0 0 1), d = 5.452 Å, 2θ 16.3, intensity 84
(0 2 0), d = 4.623 Å, 2θ 19.2, intensity 72
(0 2 1), d = 3.526 Å, 2θ 25.3, intensity 73
(3 1 -1), d = 3.327 Å, 2θ 26.8, intensity 100
(3 1 -2), d = 3.073 Å, 2θ 29.1, intensity 61
(0 0 2), d = 2.726 Å, 2θ 32.9, intensity 52
(0 4 0), d = 2.311 Å, 2θ 39.0, intensity 45
(3 3 -2), d = 2.239 Å, 2θ 40.3, intensity 52

Structural model:
a = 10.8663 Å, b = 9.2456 Å, c = 7.1306 Å
α = 90.00°, β = 130.13°, γ = 90.00°
Space group C2/m (No. 12)
Unique sites:
K (0.0000, 0.0000, 0.0000) x2
K (0.0000, 0.2855, 0.5000) x4
Ba (0.1876, 0.5000, 0.0686) x4
O (0.1117, 0.5000, 0.3617) x4
O (0.1852, 0.2157, 0.9964) x8
O (0.2173, 0.0000, 0.4921) x4


No. 6
K2BaOsO4: calculated powder diffractogram (λ = 1.5418 Å (Cu Kα)), based on a structure optimized by DFT (PBE).
No peak broadening, texture or thermal motion is included.

Top 10 peaks for 5° ≤ 2θ ≤ 70°, low angle first:
(1 0 1), d = 4.793 Å, 2θ 18.5, intensity 76
(2 0 0), d = 3.179 Å, 2θ 28.1, intensity 48
(1 1 2), d = 2.832 Å, 2θ 31.6, intensity 100
(2 1 1), d = 2.649 Å, 2θ 33.8, intensity 26
(2 2 0), d = 2.248 Å, 2θ 40.1, intensity 32
(3 1 2), d = 1.761 Å, 2θ 51.9, intensity 45
(3 2 1), d = 1.714 Å, 2θ 53.5, intensity 12
(2 0 4), d = 1.582 Å, 2θ 58.3, intensity 13
(4 2 0), d = 1.422 Å, 2θ 65.7, intensity 13
(2 2 4), d = 1.416 Å, 2θ 66.0, intensity 14

Structural model:
a = 6.3588 Å, b = 6.3588 Å, c = 7.2933 Å
α = 90.00°, β = 90.00°, γ = 90.00°
Space group I-4m2 (No. 119)
Unique sites:
K (0.0000, 0.0000, 0.0000) x2
K (0.0000, 0.5000, 0.2500) x2
Ba (0.0000, 0.5000, 0.7500) x2
Os (0.0000, 0.0000, 0.5000) x2
O (0.2120, 0.2120, 0.5000) x8


No. 7
KBa2P5O15: calculated powder diffractogram (λ = 1.5418 Å (Cu Kα)), based on a structure optimized by DFT (PBE).
No peak broadening, texture or thermal motion is included.

Top 10 peaks for 5° ≤ 2θ ≤ 70°, low angle first:
(0 1 1), d = 6.178 Å, 2θ 14.3, intensity 46
(1 1 -3), d = 3.940 Å, 2θ 22.6, intensity 30
(2 1 -1), d = 3.578 Å, 2θ 24.9, intensity 96
(0 2 1), d = 3.537 Å, 2θ 25.2, intensity 100
(2 0 -4), d = 3.413 Å, 2θ 26.1, intensity 68
(1 0 2), d = 3.387 Å, 2θ 26.3, intensity 48
(0 1 3), d = 3.287 Å, 2θ 27.1, intensity 40
(2 1 0), d = 3.123 Å, 2θ 28.6, intensity 37
(1 2 1), d = 2.915 Å, 2θ 30.7, intensity 35
(2 2 -3), d = 2.751 Å, 2θ 32.5, intensity 43

Structural model:
a = 8.7643 Å, b = 7.4725 Å, c = 13.9993 Å
α = 90.00°, β = 128.33°, γ = 90.00°
Space group Pc (No. 7)
Unique sites:
K (0.0000, 0.1443, 0.0000) x2
Ba (0.1852, 0.3357, 0.3794) x2
Ba (0.6002, 0.3681, 0.2934) x2
P (0.1012, 0.3972, 0.6116) x2
P (0.3907, 0.1569, 0.9856) x2
P (0.4257, 0.1558, 0.7868) x2
P (0.7688, 0.3427, 0.6237) x2
P (0.8110, 0.0492, 0.1871) x2
O (0.0036, 0.4385, 0.4800) x2
O (0.2067, 0.4522, 0.2020) x2
O (0.2466, 0.2311, 0.6493) x2
O (0.2800, 0.0053, 0.4740) x2
O (0.3339, 0.2099, 0.8549) x2
O (0.3673, 0.3238, 0.0363) x2
O (0.4339, 0.0425, 0.2774) x2
O (0.5849, 0.3483, 0.4941) x2
O (0.6009, 0.2703, 0.8356) x2
O (0.6166, 0.1098, 0.0561) x2
O (0.7777, 0.1632, 0.6909) x2
O (0.8215, 0.1257, 0.2905) x2
O (0.8211, 0.4936, 0.7097) x2
O (0.9459, 0.3014, 0.6193) x2
O (0.9754, 0.0888, 0.1843) x2


No. 8
K2BaPb3O8: calculated powder diffractogram (λ = 1.5418 Å (Cu Kα)), based on a structure optimized by DFT (PBE).
No peak broadening, texture or thermal motion is included.

Top 10 peaks for 5° ≤ 2θ ≤ 70°, low angle first:
(0 0 3), d = 6.352 Å, 2θ 13.9, intensity 100
(1 0 4), d = 3.729 Å, 2θ 23.9, intensity 39
(0 1 5), d = 3.216 Å, 2θ 27.7, intensity 31
(1 1 3), d = 3.038 Å, 2θ 29.4, intensity 55
(0 2 1), d = 2.960 Å, 2θ 30.2, intensity 87
(2 0 2), d = 2.858 Å, 2θ 31.3, intensity 50
(0 2 4), d = 2.536 Å, 2θ 35.4, intensity 43
(0 2 7), d = 2.015 Å, 2θ 45.0, intensity 38
(2 0 8), d = 1.865 Å, 2θ 48.8, intensity 38
(2 2 0), d = 1.730 Å, 2θ 52.9, intensity 34

Structural model:
a = 6.9198 Å, b = 6.9198 Å, c = 19.0550 Å
α = 90.00°, β = 90.00°, γ = 120.00°
Space group R3m (No. 160, hexagonal axes)
Unique sites:
K (0.0000, 0.0000, 0.0000) x3
K (0.0000, 0.0000, 0.3739) x3
Ba (0.0000, 0.0000, 0.7557) x3
Pb (0.0027, 0.5013, 0.8764) x9
O (0.0000, 0.0000, 0.1432) x3
O (0.0000, 0.0000, 0.6089) x3
O (0.0404, 0.5202, 0.1487) x9
O (0.1836, 0.3672, 0.9341) x9


No. 9
KBa2PdO4: calculated powder diffractogram (λ = 1.5418 Å (Cu Kα)), based on a structure optimized by DFT (PBE).
No peak broadening, texture or thermal motion is included.

Top 10 peaks for 5° ≤ 2θ ≤ 70°, low angle first:
(0 0 4), d = 5.598 Å, 2θ 15.8, intensity 73
(1 1 3), d = 4.356 Å, 2θ 20.4, intensity 100
(0 2 6), d = 3.208 Å, 2θ 27.8, intensity 45
(0 4 0), d = 3.141 Å, 2θ 28.4, intensity 32
(1 3 3), d = 3.110 Å, 2θ 28.7, intensity 48
(1 1 7), d = 2.745 Å, 2θ 32.6, intensity 23
(1 3 5), d = 2.719 Å, 2θ 32.9, intensity 20
(2 2 0), d = 2.682 Å, 2θ 33.4, intensity 60
(0 2 10), d = 2.109 Å, 2θ 42.9, intensity 27
(2 4 6), d = 1.867 Å, 2θ 48.8, intensity 22

Structural model:
a = 5.9320 Å, b = 12.5640 Å, c = 22.3902 Å
α = 90.00°, β = 90.00°, γ = 90.00°
Space group Fddd (No. 70, origin choice 2)
Unique sites:
K (0.1250, 0.1250, 0.1250) x8
Ba (0.1250, 0.1250, 0.3196) x16
Pd (0.1250, 0.1250, 0.6250) x8
O (0.0708, 0.0009, 0.4016) x32


No. 10
KBaPdO2: calculated powder diffractogram (λ = 1.5418 Å (Cu Kα)), based on a structure optimized by DFT (PBE).
No peak broadening, texture or thermal motion is included.

Top 10 peaks for 5° ≤ 2θ ≤ 70°, low angle first:
(0 0 1), d = 5.865 Å, 2θ 15.1, intensity 100
(1 0 1), d = 4.090 Å, 2θ 21.7, intensity 28
(1 1 1), d = 3.418 Å, 2θ 26.1, intensity 74
(0 2 0), d = 3.113 Å, 2θ 28.7, intensity 61
(0 1 2), d = 2.653 Å, 2θ 33.8, intensity 66
(2 1 0), d = 2.594 Å, 2θ 34.6, intensity 48
(1 2 1), d = 2.477 Å, 2θ 36.3, intensity 43
(2 1 1), d = 2.372 Å, 2θ 37.9, intensity 82
(2 0 3), d = 1.613 Å, 2θ 57.1, intensity 49
(2 2 3), d = 1.432 Å, 2θ 65.1, intensity 23

Structural model:
a = 5.7064 Å, b = 6.2264 Å, c = 5.8646 Å
α = 90.00°, β = 90.00°, γ = 90.00°
Space group Pmma (No. 51)
Unique sites:
K (0.2500, 0.0000, 0.0120) x2
Ba (0.2500, 0.5000, 0.6748) x2
Pd (0.0000, 0.0000, 0.5000) x2
O (0.2500, 0.2507, 0.3430) x4


No. 11
K2BaPtO4: calculated powder diffractogram (λ = 1.5418 Å (Cu Kα)), based on a structure optimized by DFT (PBE).
No peak broadening, texture or thermal motion is included.

Top 10 peaks for 5° ≤ 2θ ≤ 70°, low angle first:
(1 0 1), d = 4.769 Å, 2θ 18.6, intensity 78
(2 0 0), d = 3.198 Å, 2θ 27.9, intensity 50
(1 1 2), d = 2.806 Å, 2θ 31.9, intensity 100
(2 1 1), d = 2.656 Å, 2θ 33.7, intensity 28
(2 2 0), d = 2.262 Å, 2θ 39.9, intensity 34
(3 1 2), d = 1.761 Å, 2θ 51.9, intensity 47
(3 2 1), d = 1.722 Å, 2θ 53.2, intensity 12
(2 0 4), d = 1.561 Å, 2θ 59.2, intensity 13
(2 2 4), d = 1.403 Å, 2θ 66.7, intensity 14
(3 3 2), d = 1.389 Å, 2θ 67.4, intensity 12

Structural model:
a = 6.3965 Å, b = 6.3965 Å, c = 7.1568 Å
α = 90.00°, β = 90.00°, γ = 90.00°
Space group I-4m2 (No. 119)
Unique sites:
K (0.0000, 0.0000, 0.0000) x2
K (0.0000, 0.5000, 0.2500) x2
Ba (0.0000, 0.5000, 0.7500) x2
Pt (0.0000, 0.0000, 0.5000) x2
O (0.2160, 0.2160, 0.5000) x8


No. 12
KBaReO4: calculated powder diffractogram (λ = 1.5418 Å (Cu Kα)), based on a structure optimized by DFT (PBE).
No peak broadening, texture or thermal motion is included.

Top 10 peaks for 5° ≤ 2θ ≤ 70°, low angle first:
(1 1 1), d = 5.790 Å, 2θ 15.3, intensity 18
(2 0 0), d = 5.014 Å, 2θ 17.7, intensity 75
(2 2 0), d = 3.546 Å, 2θ 25.1, intensity 100
(2 2 2), d = 2.895 Å, 2θ 30.9, intensity 24
(4 0 0), d = 2.507 Å, 2θ 35.8, intensity 14
(4 2 0), d = 2.242 Å, 2θ 40.2, intensity 30
(4 2 2), d = 2.047 Å, 2θ 44.2, intensity 41
(4 4 0), d = 1.773 Å, 2θ 51.6, intensity 17
(4 4 2), d = 1.671 Å, 2θ 54.9, intensity 17
(6 2 0), d = 1.586 Å, 2θ 58.2, intensity 17

Structural model:
a = 10.0282 Å, b = 10.0282 Å, c = 10.0282 Å
α = 90.00°, β = 90.00°, γ = 90.00°
Space group F-43m (No. 216)
Unique sites:
K (0.0000, 0.0000, 0.0000) x4
Ba (0.2500, 0.2500, 0.7500) x4
Re (0.2500, 0.2500, 0.2500) x4
O (0.1478, 0.1478, 0.1478) x16


What is the formula in the twelfth record? KBaReO4


Repeat the fifth record exactly.
K3Ba2O8: calculated powder diffractogram (λ = 1.5418 Å (Cu Kα)), based on a structure optimized by DFT (PBE).
No peak broadening, texture or thermal motion is included.

Top 10 peaks for 5° ≤ 2θ ≤ 70°, low angle first:
(1 1 0), d = 6.180 Å, 2θ 14.3, intensity 42
(1 1 -1), d = 5.646 Å, 2θ 15.7, intensity 70
(0 0 1), d = 5.452 Å, 2θ 16.3, intensity 84
(0 2 0), d = 4.623 Å, 2θ 19.2, intensity 72
(0 2 1), d = 3.526 Å, 2θ 25.3, intensity 73
(3 1 -1), d = 3.327 Å, 2θ 26.8, intensity 100
(3 1 -2), d = 3.073 Å, 2θ 29.1, intensity 61
(0 0 2), d = 2.726 Å, 2θ 32.9, intensity 52
(0 4 0), d = 2.311 Å, 2θ 39.0, intensity 45
(3 3 -2), d = 2.239 Å, 2θ 40.3, intensity 52

Structural model:
a = 10.8663 Å, b = 9.2456 Å, c = 7.1306 Å
α = 90.00°, β = 130.13°, γ = 90.00°
Space group C2/m (No. 12)
Unique sites:
K (0.0000, 0.0000, 0.0000) x2
K (0.0000, 0.2855, 0.5000) x4
Ba (0.1876, 0.5000, 0.0686) x4
O (0.1117, 0.5000, 0.3617) x4
O (0.1852, 0.2157, 0.9964) x8
O (0.2173, 0.0000, 0.4921) x4